[1]
Theoretical XRD peak list of SmCo4Sn4Ge2 for Cu Kα (weighted mean of Kα1 and Kα2), from a PBE-relaxed structure.
Neutral-atom scattering factors, no anomalous dispersion.

Peak list (8 most intense, 15° ≤ 2θ ≤ 90°, by intensity)
| two_theta | intensity |
| --- | --- |
| 32.54 | 100 |
| 33.59 | 78 |
| 42.31 | 63 |
| 42.66 | 59 |
| 43.30 | 45 |
| 39.69 | 40 |
| 31.27 | 34 |
| 55.77 | 26 |

Crystal structure
```
SmCo4Sn4Ge2
1.0
-3.2118 3.2118 4.7922
3.2118 -3.2118 4.7922
3.2118 3.2118 -4.7922
Sm Co Sn Ge
1 4 4 2
Direct
0.0000 0.0000 0.0000
0.2523 0.2523 0.6436
0.3914 0.7477 0.0000
0.6086 0.6086 0.3564
0.7477 0.3914 0.0000
0.1156 0.4737 0.0000
0.4737 0.1156 0.0000
0.5263 0.5263 0.6419
0.8844 0.8844 0.3581
0.0000 0.5000 0.5000
0.5000 0.0000 0.5000
```


[2]
Theoretical XRD peak list of TbSmPb4 for Cu Kα (weighted mean of Kα1 and Kα2), from a PBE-relaxed structure.
Neutral-atom scattering factors, no anomalous dispersion.

Peak list (8 most intense, 15° ≤ 2θ ≤ 90°, by intensity)
| two_theta | intensity |
| --- | --- |
| 26.75 | 100 |
| 28.13 | 88 |
| 27.61 | 86 |
| 48.63 | 76 |
| 39.21 | 74 |
| 38.83 | 71 |
| 39.83 | 66 |
| 70.14 | 26 |

Crystal structure
```
TbSmPb4
1.0
3.3323 0.0000 0.0000
0.0000 3.1720 9.6908
0.0000 -3.1720 9.6908
Tb Sm Pb
1 1 4
Direct
0.0000 0.0000 0.0000
0.0000 0.1852 0.1852
0.0000 0.3507 0.3507
0.0000 0.5099 0.5099
0.0000 0.6736 0.6736
0.0000 0.8344 0.8344
```


[3]
Theoretical XRD peak list of Na2HoW2 for Cu Kα (weighted mean of Kα1 and Kα2), from a PBE-relaxed structure.
Neutral-atom scattering factors, no anomalous dispersion.

Peak list (8 most intense, 15° ≤ 2θ ≤ 90°, by intensity)
| two_theta | intensity |
| --- | --- |
| 38.12 | 100 |
| 34.98 | 68 |
| 29.62 | 66 |
| 46.47 | 62 |
| 43.89 | 44 |
| 58.32 | 36 |
| 51.48 | 20 |
| 41.12 | 19 |

Crystal structure
```
Na2HoW2
1.0
4.3907 0.0000 0.0000
0.0000 9.4816 0.0000
0.0000 0.0000 6.0326
Na Ho W
4 2 4
Direct
0.2148 0.1393 0.0000
0.2852 0.6393 0.0000
0.7148 0.3607 0.0000
0.7852 0.8607 0.0000
0.0000 0.5000 0.5000
0.5000 0.0000 0.5000
0.0124 0.8162 0.5000
0.4876 0.3162 0.5000
0.5124 0.6838 0.5000
0.9876 0.1838 0.5000
```